Record 1
Calculated XRD peak list of K3Tm2ZrTe6 for copper Kα, from the PBE geometry in Alexandria.
Neutral-atom scattering factors, no anomalous dispersion.

Peak list (12 most intense, 10° ≤ 2θ ≤ 90°, in order of rising 2θ)
2θ 10.70, I 48
2θ 27.58, I 100
2θ 34.66, I 20
2θ 37.48, I 34
2θ 41.26, I 36
2θ 42.75, I 11
2θ 46.89, I 14
2θ 50.35, I 18
2θ 56.95, I 10
2θ 61.74, I 10
2θ 67.06, I 15
2θ 71.52, I 9

Atomic structure:
Cell: 7.5795 13.1296 8.6460 Å, 90.00 107.01 90.00°
Space group C2/m (No. 12)
Unique sites:
K1 0.0000 0.0000 0.0000
K2 0.0000 0.3308 0.0000
Tm1 0.0000 0.1663 0.5000
Zr1 0.0000 0.5000 0.5000
Te1 0.2310 0.3372 0.7049
Te2 0.2435 0.0000 0.7058

=====

Record 2
Calculated XRD peak list of AlSi2As for copper Kα, from the PBE geometry in Alexandria.
Neutral-atom scattering factors, no anomalous dispersion.

Peak list (12 most intense, 10° ≤ 2θ ≤ 90°, in order of rising 2θ)
2θ 18.18, I 25
2θ 25.76, I 55
2θ 35.23, I 63
2θ 36.83, I 77
2θ 38.20, I 100
2θ 51.90, I 40
2θ 52.94, I 76
2θ 67.28, I 18
2θ 78.28, I 24
2θ 80.80, I 11
2θ 81.76, I 11
2θ 86.96, I 19

Atomic structure:
Cell: 5.0945 5.3803 9.7569 Å, 90.00 90.00 90.00°
Space group Fmmm (No. 69)
Unique sites:
Al1 0.0000 0.0000 0.0000
Si1 0.0000 0.2500 0.2500
As1 0.0000 0.0000 0.5000